The following is a simulated powder X-ray diffraction pattern of In5Te8. It was derived from a cell relaxed with PBE, using CuKα.
Lines closer than 0.1° are merged.

Peak list (10 most intense, 2θ = 15–90°, in order of rising 2θ)
(hkl)  2θ/deg  d/Å  I/Imax
3 1 1  24.21  3.676  34
2 2 2  25.31  3.519  33
4 0 0  29.31  3.048  100
5 1 1  38.37  2.346  25
4 4 0  41.92  2.155  99
6 2 2  49.60  1.838  16
4 4 4  51.97  1.760  24
8 0 0  60.78  1.524  15
8 4 0  68.89  1.363  26
8 4 4  76.58  1.244  27

Structural model:
```
data_In5Te8
_chemical_formula_sum 'In20 Te32'
_symmetry_space_group_name_H-M 'F -4 3 m'
_symmetry_Int_Tables_number 216
_symmetry_space_group_name_Hall 'F -4 2 3'
_cell_length_a 12.190
_cell_length_b 12.190
_cell_length_c 12.190
_cell_angle_alpha 90.00
_cell_angle_beta 90.00
_cell_angle_gamma 90.00
loop_
_atom_site_label
_atom_site_type_symbol
_atom_site_fract_x
_atom_site_fract_y
_atom_site_fract_z
_atom_site_occupancy
In1 In 0.000 0.000 0.000 1
In2 In 0.113 0.113 0.613 1
Te1 Te 0.127 0.127 0.373 1
Te2 Te 0.136 0.136 0.864 1
```

The following is a simulated powder X-ray diffraction pattern of InTe5. It was derived from a cell relaxed with PBE, using CuKα.
Lines closer than 0.1° are merged.

Peak list (10 most intense, 2θ = 15–90°, in order of rising 2θ)
(hkl)  2θ/deg  d/Å  I/Imax
1 0 0  15.40  5.753  21
1 1 0  26.84  3.321  19
2 0 0  31.09  2.876  30
1 1 1  31.83  2.811  100
0 0 2  33.96  2.640  32
2 0 1  35.54  2.526  44
2 0 2  46.71  1.945  19
3 0 1  50.65  1.802  27
2 2 0  55.32  1.661  23
2 2 2  66.52  1.406  26

Structural model:
```
data_InTe5
_chemical_formula_sum 'In1 Te5'
_symmetry_space_group_name_H-M 'P 6/m m m'
_symmetry_Int_Tables_number 191
_symmetry_space_group_name_Hall '-P 6 2'
_cell_length_a 6.6425
_cell_length_b 6.6425
_cell_length_c 5.2795
_cell_angle_alpha 90.00
_cell_angle_beta 90.00
_cell_angle_gamma 120.00
loop_
_atom_site_label
_atom_site_type_symbol
_atom_site_fract_x
_atom_site_fract_y
_atom_site_fract_z
_atom_site_occupancy
In1 In 0.0000 0.0000 0.0000 1
Te1 Te 0.0000 0.5000 0.5000 1
Te2 Te 0.3333 0.6667 0.0000 1
```